LiCr2S4: calculated XRD peak list (a wavelength of 1.5418 Å), based on the GGA-PBE geometry in the Materials Project.

Top 12 peaks for 10 to 90 degrees two-theta, by intensity:
d 3.988, 2θ 22.3, intensity 100, hkl 0 0 3; d 3.163, 2θ 28.2, intensity 85, hkl 1 -2 1; d 5.905, 2θ 15.0, intensity 49, hkl 0 1 1; d 3.099, 2θ 28.8, intensity 43, hkl 2 0 -1; d 1.864, 2θ 48.9, intensity 43, hkl 0 4 -1; d 1.830, 2θ 49.8, intensity 40, hkl 3 2 -1; d 1.833, 2θ 49.7, intensity 39, hkl 3 -2 0; d 1.775, 2θ 51.5, intensity 36, hkl 1 2 5; d 1.765, 2θ 51.8, intensity 34, hkl 1 -2 6; d 1.743, 2θ 52.5, intensity 33, hkl 2 0 -6; d 3.195, 2θ 27.9, intensity 30, hkl 1 -2 0; d 4.818, 2θ 18.4, intensity 29, hkl 1 -1 0

Crystal structure
```
28
Lattice="6.3094 0.0000 0.0000 -0.0159 7.4562 0.0000 -0.8752 -1.7681 11.9633" Properties=species:S:1:pos:R:3 pbc="T T T"
Li 0.5422 0.9677 3.5304
Li 1.5643 2.7699 0.0035
Li 3.8540 2.9181 11.9598
Li 4.8762 4.7203 8.4329
Cr 0.6907 4.7126 3.5214
Cr 1.4819 6.5935 0.0121
Cr 1.6664 2.8379 8.4563
Cr 1.7128 -0.8492 8.4443
Cr 3.7055 6.5372 3.5190
Cr 3.7519 2.8501 3.5070
Cr 3.9365 -0.9054 11.9512
Cr 4.7276 0.9754 8.4419
S 0.4829 0.8448 1.1931
S 0.6367 4.8035 1.3701
S 0.5695 0.9866 7.6334
S 0.8557 4.7243 7.6070
S 1.6720 6.4531 4.4024
S 1.6890 2.9347 4.3537
S 1.6027 3.0447 10.5990
S 1.8339 -0.9818 10.6627
S 3.5844 6.6698 1.3006
S 3.8157 2.6433 1.3643
S 3.7294 2.7534 7.6096
S 3.7463 -0.7651 7.5609
S 4.5626 0.9638 4.3562
S 4.8488 4.7014 4.3299
S 4.7817 0.8845 10.5932
S 4.9355 4.8432 10.7702
```